Structure and calculated XRD peak list of Ac3InGa2Pd6 (the PBE geometry in Alexandria; Cu Kα X-rays).
Lines closer than 0.1° are merged.

Atomic structure:
```
data_Ac3InGa2Pd6
_chemical_formula_sum 'Ac3 In1 Ga2 Pd6'
_space_group_name_H-M_alt 'P -3 m 1'
_space_group_IT_number 164
_space_group_name_Hall '-P 3 2"'
_cell_length_a 5.9843
_cell_length_b 5.9843
_cell_length_c 8.9748
_cell_angle_alpha 90.00
_cell_angle_beta 90.00
_cell_angle_gamma 120.00
loop_
_atom_site_label
_atom_site_type_symbol
_atom_site_fract_x
_atom_site_fract_y
_atom_site_fract_z
_atom_site_occupancy
Ac1 Ac 0.0000 0.0000 0.0000 1
Ac2 Ac 0.3333 0.6667 0.6342 1
In1 In 0.0000 0.0000 0.5000 1
Ga1 Ga 0.3333 0.6667 0.0334 1
Pd1 Pd 0.1770 0.3541 0.2735 1
```

Most intense lines, 10 to 80 degrees two-theta, sorted by position:
h k l, Position (°2θ), I_rel
0 0 2, 19.8, 14.8
0 1 2, 26.3, 39.8
0 0 3, 29.9, 57.5
0 1 3, 34.6, 17.1
0 2 1, 36.1, 100.0
2 0 2, 40.2, 52.2
0 1 4, 44.0, 17.2
1 0 5, 54.1, 15.9
2 2 0, 62.0, 27.8
1 2 4, 63.0, 17.8
2 2 3, 70.4, 15.4
0 4 2, 76.5, 14.5